Structure and calculated powder diffraction line list of KZrPb2 (a structure optimized by DFT (PBE); Cu Kα (λ = 1.5418 Å)).

Top 6 peaks for 10 to 80 degrees two-theta, by angle:
Position (°2θ), I/Imax
15.99, 36
30.18, 29
31.62, 100
32.31, 25
36.88, 61
52.68, 25

Atomic structure:
```
KZrPb2
1.0
3.4748 0.0000 0.0000
-1.7374 3.0093 0.0000
0.0000 0.0000 33.2463
K Zr Pb
3 3 6
Cartesian
0.0000 0.0000 0.0000
0.0000 2.0062 22.1642
1.7374 1.0031 11.0821
0.0000 0.0000 16.6231
0.0000 2.0062 5.5411
1.7374 1.0031 27.7052
0.0000 0.0000 8.0679
0.0000 0.0000 25.1783
0.0000 2.0062 14.0963
0.0000 2.0062 30.2321
1.7374 1.0031 3.0142
1.7374 1.0031 19.1500
```



Structure and calculated powder diffraction line list of Tb4Pm3Mg (a structure optimized by DFT (PBE); Cu Kα (λ = 1.5418 Å)).

Top 6 peaks for 10 to 80 degrees two-theta, by angle:
Position (°2θ), I/Imax
28.76, 24
31.41, 37
32.55, 51
32.85, 100
56.84, 20
60.71, 22

Atomic structure:
```
Tb4Pm3Mg
1.0
11.3927 0.0000 0.0000
0.0000 7.1424 0.0000
0.0000 0.0000 6.2820
Tb Pm Mg
8 6 2
Cartesian
0.0000 0.9054 0.0000
0.0000 4.4881 0.0218
2.7812 0.8710 2.1335
2.9152 6.2714 5.2745
5.6964 2.6543 3.1628
5.6964 6.2370 3.1410
8.4775 6.2714 5.2745
8.6116 0.8710 2.1335
0.0000 2.7212 3.3239
2.7514 4.5094 2.1930
2.9450 2.6330 5.3340
5.6964 4.4212 0.1829
8.4477 2.6330 5.3340
8.6414 4.5094 2.1930
0.0000 6.3157 3.2299
5.6964 0.8267 0.0889
```



Structure and calculated powder diffraction line list of Tm3Ge5 (a structure optimized by DFT (PBE); Cu Kα (λ = 1.5418 Å)).

Top 6 peaks for 10 to 80 degrees two-theta, by angle:
Position (°2θ), I/Imax
29.57, 91
33.85, 100
34.02, 96
39.93, 85
44.71, 71
52.23, 31

Atomic structure:
```
Tm3Ge5
1.0
0.0000 8.6254 6.7961
2.8587 0.0000 6.7961
2.8587 8.6254 0.0000
Tm Ge
6 10
Cartesian
0.0000 0.0000 0.0000
1.4293 4.3127 3.3980
2.9630 5.7313 6.6789
4.1836 10.0440 10.0770
2.7543 11.5194 6.6789
4.3924 15.8321 10.0770
1.3992 1.5082 2.2117
2.8286 2.8044 5.6097
3.8868 9.6857 4.7240
1.4594 7.1171 2.2117
2.4575 3.2523 8.1220
1.8305 7.5650 4.7240
2.8587 8.6254 7.5097
2.8888 14.4463 5.6097
4.2880 12.9380 10.9078
3.2598 13.9984 8.1220
```



Structure and calculated powder diffraction line list of Pr4Er3 (a structure optimized by DFT (PBE); Cu Kα (λ = 1.5418 Å)).

Top 6 peaks for 10 to 80 degrees two-theta, by angle:
Position (°2θ), I/Imax
30.16, 100
30.27, 33
34.91, 23
34.98, 23
35.11, 22
59.78, 19

Atomic structure:
```
Pr4Er3
1.0
5.1300 0.0000 0.0000
-2.5548 5.7110 0.0000
-0.0149 -1.1548 8.0533
Pr Er
4 3
Cartesian
-0.0026 1.1312 3.4256
-0.0066 2.2743 6.9222
2.5669 2.2819 1.1310
2.5629 3.4250 4.6276
0.0000 0.0000 0.0000
0.0051 4.5733 2.3065
2.5552 -0.0171 5.7468
```



Structure and calculated powder diffraction line list of SiO2 (a structure optimized by DFT (PBE); Cu Kα (λ = 1.5418 Å)).

Top 6 peaks for 10 to 80 degrees two-theta, by angle:
Position (°2θ), I/Imax
20.43, 39
21.92, 93
23.21, 34
23.97, 55
27.79, 100
30.74, 53

Atomic structure:
```
SiO2
1.0
4.7599 0.0000 0.0000
0.0000 8.1094 0.0000
0.0000 0.0000 8.6952
Si O
8 16
Cartesian
0.6516 0.5105 1.3869
0.6516 3.5442 5.7345
1.7284 0.5105 5.7345
1.7284 3.5442 1.3869
3.0315 4.5652 7.3083
3.0315 7.5989 2.9607
4.1083 4.5652 2.9607
4.1083 7.5989 7.3083
0.0000 0.0000 0.0000
0.0000 4.0547 4.3476
0.4805 4.5208 1.7825
0.4805 7.6433 6.1301
1.1900 2.0274 1.2228
1.1900 2.0274 5.5704
1.8994 4.5208 6.1301
1.8994 7.6433 1.7825
2.3799 0.0000 4.3476
2.3799 4.0547 0.0000
2.8604 0.4661 6.9127
2.8604 3.5886 2.5651
3.5699 6.0821 3.1248
3.5699 6.0821 7.4725
4.2794 0.4661 2.5651
4.2794 3.5886 6.9127
```



Structure and calculated powder diffraction line list of HgB2H (a structure optimized by DFT (PBE); Cu Kα (λ = 1.5418 Å)).

Top 6 peaks for 10 to 80 degrees two-theta, by angle:
Position (°2θ), I/Imax
25.57, 54
26.75, 100
32.43, 79
39.31, 87
41.75, 40
54.70, 34

Atomic structure:
```
HgB2H
1.0
3.4326 0.0000 0.0000
0.0000 3.4326 0.0000
0.0000 0.0000 13.9342
Hg B H
4 8 4
Cartesian
0.0000 0.8581 5.2253
0.0000 2.5744 8.7089
1.7163 0.8581 1.7418
1.7163 2.5744 12.1924
0.0000 0.0000 0.0000
0.0000 1.7163 0.0000
0.8581 0.8581 10.4507
0.8581 2.5744 3.4836
1.7163 0.0000 6.9671
1.7163 1.7163 6.9671
2.5744 0.8581 10.4507
2.5744 2.5744 3.4836
0.0000 0.8581 12.1924
0.0000 2.5744 1.7418
1.7163 0.8581 8.7089
1.7163 2.5744 5.2253
```